Diffraction record for BePb2F6. The PXRD pattern is theoretical, not measured: it uses a structure optimized by DFT (PBE) and CuKα.
Neutral-atom scattering factors, no anomalous dispersion.

The 10 most intense peaks (2θ = 10–90°), low angle first:
Position (°2θ), d_spacing, I/Imax
20.5, 4.333, 100
22.9, 3.889, 52
23.6, 3.772, 58
24.5, 3.639, 42
27.8, 3.214, 74
30.2, 2.960, 42
32.7, 2.743, 27
32.8, 2.734, 25
42.9, 2.108, 37
44.1, 2.052, 30

Structural model:
Unit cell a=5.4940 b=7.1052 c=8.9193 alpha=90.00 beta=122.25 gamma=90.00
Element x y z (fractional)
Be 0.0000 0.1560 0.0000
Be 0.0000 0.8440 0.5000
Pb 0.2954 0.1673 0.7681
Pb 0.2954 0.8327 0.2681
Pb 0.7157 0.3811 0.2699
Pb 0.7157 0.6189 0.7699
F 0.0283 0.2365 0.1688
F 0.0283 0.7635 0.6688
F 0.1563 0.3837 0.5455
F 0.1563 0.6163 0.0455
F 0.3150 0.0934 0.0557
F 0.3150 0.9066 0.5557
F 0.5295 0.4359 0.9327
F 0.5295 0.5641 0.4327
F 0.7989 0.0226 0.4410
F 0.7989 0.9774 0.9410
F 0.8855 0.2798 0.8258
F 0.8855 0.7202 0.3258

---

Diffraction record for La5Y8Tm. The PXRD pattern is theoretical, not measured: it uses a structure optimized by DFT (PBE) and CuKα.
Neutral-atom scattering factors, no anomalous dispersion.

The 10 most intense peaks (2θ = 10–90°), low angle first:
Position (°2θ), d_spacing, I/Imax
28.0, 3.187, 50
28.2, 3.168, 98
28.5, 3.128, 39
29.7, 3.011, 50
29.8, 2.995, 100
31.8, 2.816, 47
32.4, 2.763, 38
32.7, 2.739, 64
33.2, 2.702, 36
34.7, 2.584, 68

Structural model:
Unit cell a=8.1646 b=8.1646 c=9.5158 alpha=119.49 beta=119.49 gamma=76.29
Element x y z (fractional)
La 0.0000 0.0000 0.0000
La 0.1864 0.3887 0.6544
La 0.4709 0.3310 0.1009
La 0.6113 0.8136 0.3456
La 0.6690 0.5291 0.8991
Y 0.1326 0.6361 0.0708
Y 0.3639 0.8674 0.9292
Y 0.4107 0.2427 0.3930
Y 0.5744 0.0710 0.7663
Y 0.7573 0.5893 0.6070
Y 0.8386 0.0279 0.2680
Y 0.9290 0.4256 0.2337
Y 0.9721 0.1614 0.7320
Tm 0.2420 0.7580 0.5000

---

Diffraction record for TbTc6B4. The PXRD pattern is theoretical, not measured: it uses a structure optimized by DFT (PBE) and CuKα.
Neutral-atom scattering factors, no anomalous dispersion.

The 10 most intense peaks (2θ = 10–90°), low angle first:
Position (°2θ), d_spacing, I/Imax
18.9, 4.692, 17
36.0, 2.498, 14
37.0, 2.428, 46
38.4, 2.346, 100
43.4, 2.086, 19
45.2, 2.006, 27
48.6, 1.875, 16
64.4, 1.446, 16
69.2, 1.358, 13
78.8, 1.214, 10

Structural model:
Unit cell a=5.7886 b=5.7886 c=5.7886 alpha=121.30 beta=121.30 gamma=87.77
Element x y z (fractional)
Tb 0.0000 0.0000 0.0000
Tc 0.0000 0.5000 0.5000
Tc 0.0841 0.0841 0.6121
Tc 0.4720 0.4720 0.3879
Tc 0.5000 0.0000 0.5000
Tc 0.5280 0.9159 0.0000
Tc 0.9159 0.5280 0.0000
B 0.2983 0.5760 0.0000
B 0.4240 0.4240 0.7223
B 0.5760 0.2983 0.0000
B 0.7017 0.7017 0.2777

---

Diffraction record for Ac2NpCr2N6. The PXRD pattern is theoretical, not measured: it uses a structure optimized by DFT (PBE) and CuKα.
Neutral-atom scattering factors, no anomalous dispersion.

The 10 most intense peaks (2θ = 10–90°), low angle first:
Position (°2θ), d_spacing, I/Imax
18.0, 4.920, 24
27.7, 3.216, 64
30.0, 2.977, 100
32.3, 2.775, 53
41.3, 2.185, 32
44.6, 2.030, 22
51.9, 1.761, 24
53.3, 1.719, 21
54.7, 1.677, 25
59.3, 1.558, 31

Structural model:
Unit cell a=6.4745 b=6.4745 c=6.4745 alpha=54.74 beta=54.74 gamma=54.74
Element x y z (fractional)
Ac 0.2232 0.2232 0.2232
Ac 0.7768 0.7768 0.7768
Np 0.0000 0.0000 0.0000
Cr 0.4378 0.4378 0.4378
Cr 0.5622 0.5622 0.5622
N 0.2451 0.7539 0.7539
N 0.2461 0.2461 0.7549
N 0.2461 0.7549 0.2461
N 0.7539 0.2451 0.7539
N 0.7539 0.7539 0.2451
N 0.7549 0.2461 0.2461

---

Diffraction record for Pm3Pr5Co2. The PXRD pattern is theoretical, not measured: it uses a structure optimized by DFT (PBE) and CuKα.
Neutral-atom scattering factors, no anomalous dispersion.

The 10 most intense peaks (2θ = 10–90°), low angle first:
Position (°2θ), d_spacing, I/Imax
28.2, 3.164, 97
28.9, 3.087, 88
32.7, 2.740, 100
33.9, 2.643, 46
46.0, 1.975, 20
47.8, 1.902, 84
55.2, 1.664, 29
56.5, 1.630, 25
58.3, 1.582, 19
59.9, 1.544, 16

Structural model:
Unit cell a=10.0705 b=10.0705 c=10.0705 alpha=116.67 beta=81.89 gamma=133.81
Element x y z (fractional)
Pm 0.1328 0.7431 0.8759
Pm 0.2500 0.2500 0.0000
Pm 0.3672 0.2431 0.6103
Pm 0.6328 0.7569 0.3897
Pm 0.7500 0.7500 0.0000
Pm 0.8672 0.2569 0.1241
Pr 0.0027 0.7500 0.2527
Pr 0.1137 0.2557 0.3694
Pr 0.2500 0.7500 0.5000
Pr 0.3863 0.7557 0.1420
Pr 0.4973 0.7500 0.7473
Pr 0.5027 0.2500 0.2527
Pr 0.6137 0.2443 0.8580
Pr 0.7500 0.2500 0.5000
Pr 0.8863 0.7443 0.6306
Pr 0.9973 0.2500 0.7473
Co 0.1294 0.9980 0.1274
Co 0.3706 0.4980 0.8686
Co 0.6294 0.5020 0.1314
Co 0.8706 0.0020 0.8726

---

Diffraction record for AcErAu3. The PXRD pattern is theoretical, not measured: it uses a structure optimized by DFT (PBE) and CuKα.
Neutral-atom scattering factors, no anomalous dispersion.

The 10 most intense peaks (2θ = 10–90°), low angle first:
Position (°2θ), d_spacing, I/Imax
31.6, 2.834, 100
32.1, 2.791, 29
37.1, 2.422, 49
38.6, 2.333, 32
41.8, 2.161, 24
47.2, 1.927, 18
51.0, 1.790, 16
61.5, 1.508, 23
62.5, 1.486, 16
65.5, 1.426, 13

Structural model:
Unit cell a=14.3018 b=14.3018 c=4.6658 alpha=90.00 beta=90.00 gamma=164.51
Element x y z (fractional)
Ac 0.0755 0.9245 0.7500
Ac 0.9245 0.0755 0.2500
Er 0.2075 0.7925 0.2500
Er 0.7925 0.2075 0.7500
Au 0.3107 0.6893 0.2500
Au 0.3730 0.6270 0.7500
Au 0.4727 0.5273 0.7500
Au 0.5273 0.4727 0.2500
Au 0.6270 0.3730 0.2500
Au 0.6893 0.3107 0.7500